# La7Dy2Tm3
Theoretical PXRD pattern, Cu Kα, 1.54184 Å. Input: a PBE-relaxed structure.
Peak positions follow from Bragg's law for the DFT cell and can differ from measured ones.

Main lines, most intense first (2θ from 10° to 90°):
| 2theta | I (rel.) | h k l |
| --- | --- | --- |
| 30.78 | 100 | 1 1 2 |
| 30.43 | 97 | 0 0 6 |
| 34.38 | 92 | 1 1 -4 |
| 30.17 | 83 | 2 0 -3 |
| 32.83 | 70 | 2 0 3 |
| 29.24 | 59 | 1 1 1 |
| 49.12 | 42 | 3 1 -1 |
| 59.54 | 30 | 3 1 -7 |
| 60.70 | 29 | 0 2 6 |
| 60.55 | 28 | 2 2 -3 |
| 62.13 | 24 | 2 2 3 |
| 37.52 | 24 | 1 1 -5 |

Structure:
Unit cell a=6.5134 b=3.5707 c=17.7071 alpha=90.00 beta=95.56 gamma=90.00
Space group P2/m (No. 10)
Unique sites:
La 0.0000 0.0000 0.0000 [1 per cell]
La 0.2283 0.5000 0.1736 [2 per cell]
La 0.2623 0.5000 0.4907 [2 per cell]
La 0.2782 0.0000 0.8330 [2 per cell]
Dy 0.0583 0.5000 0.6700 [2 per cell]
Tm 0.4590 0.0000 0.3385 [2 per cell]
Tm 0.5000 0.5000 0.0000 [1 per cell]